Pa4TcTeSe2: computed powder X-ray diffraction pattern (Cu Ka), based on a PBE-relaxed structure.

Cell and atoms:
a b c (Å): 7.1684 3.9798 7.4047
angles (deg): 90.00 107.58 90.00
Fractional positions:
Pa (0.2332, 0.0000, 0.2169)
Pa (0.2545, 0.5000, 0.7787)
Pa (0.7455, 0.5000, 0.2213)
Pa (0.7668, 0.0000, 0.7831)
Tc (0.0000, 0.5000, 0.0000)
Te (0.0000, 0.0000, 0.5000)
Se (0.5000, 0.0000, 0.0000)
Se (0.5000, 0.5000, 0.5000)

Main lines, low angle first (2θ = 5–70°):
(2 0 0), d 3.417, 26.1 deg, I = 12
(1 1 -1), d 3.295, 27.1 deg, I = 22
(2 0 -2), d 2.938, 30.4 deg, I = 51
(1 1 1), d 2.922, 30.6 deg, I = 100
(2 0 2), d 2.152, 42.0 deg, I = 18
(1 1 -3), d 2.096, 43.2 deg, I = 34
(3 1 -1), d 2.048, 44.2 deg, I = 39
(0 2 0), d 1.990, 45.6 deg, I = 18
(2 2 -2), d 1.648, 55.8 deg, I = 19
(2 2 2), d 1.461, 63.7 deg, I = 11